Diffraction record for Dy14ErSc. The powder XRD pattern is computed, not measured: it uses a crystal structure in Alexandria, relaxed with GGA-PBE and Cu Kα, 1.54184 Å.
Lines closer than 0.1° are merged.

a b c (Å): 7.050 7.050 9.949
angles (deg): 90.00 90.00 90.00
Fractional positions:
Dy1 0.000 0.000 0.000
Dy2 0.000 0.500 0.000
Dy3 0.000 0.500 0.500
Dy4 0.249 0.249 0.253
Dy5 0.249 0.249 0.747
Dy6 0.249 0.751 0.253
Dy7 0.249 0.751 0.747
Dy8 0.500 0.000 0.000
Dy9 0.500 0.000 0.500
Dy10 0.500 0.500 0.000
Dy11 0.751 0.249 0.253
Dy12 0.751 0.249 0.747
Dy13 0.751 0.751 0.253
Dy14 0.751 0.751 0.747
Er1 0.500 0.500 0.500
Sc1 0.000 0.000 0.500

Main lines, in order of rising 2θ (2θ = 15–90°):
Position (°2θ), I (rel.)
31.1, 100
36.1, 51
51.9, 36
61.7, 28
61.8, 14
64.8, 12
84.8, 18
87.5, 11

---

Diffraction record for Nd2Er7Tm4. The powder XRD pattern is computed, not measured: it uses a crystal structure in Alexandria, relaxed with GGA-PBE and Cu Kα, 1.54184 Å.
Lines closer than 0.1° are merged.

a b c (Å): 6.013 6.013 13.277
angles (deg): 90.00 90.00 120.00
Fractional positions:
Nd1 0.333 0.667 0.000
Nd2 0.667 0.333 0.000
Er1 0.000 0.000 0.000
Er2 0.000 0.350 0.217
Er3 0.000 0.650 0.783
Er4 0.350 0.000 0.217
Er5 0.350 0.350 0.783
Er6 0.650 0.000 0.783
Er7 0.650 0.650 0.217
Tm1 0.000 0.000 0.396
Tm2 0.000 0.000 0.604
Tm3 0.333 0.667 0.500
Tm4 0.667 0.333 0.500

Main lines, in order of rising 2θ (2θ = 15–90°):
Position (°2θ), I (rel.)
26.9, 20
30.5, 48
32.7, 100
36.1, 31
51.3, 19
52.7, 30
63.4, 15
64.1, 26

---

Diffraction record for Ac3TcC2N6. The powder XRD pattern is computed, not measured: it uses a crystal structure in Alexandria, relaxed with GGA-PBE and Cu Kα, 1.54184 Å.
Lines closer than 0.1° are merged.

a b c (Å): 5.422 5.422 6.911
angles (deg): 90.00 90.00 120.00
Fractional positions:
Ac1 0.000 0.000 0.000
Ac2 0.333 0.667 0.668
Ac3 0.667 0.333 0.332
Tc1 0.000 0.000 0.500
C1 0.333 0.667 0.278
C2 0.667 0.333 0.722
N1 0.186 0.371 0.279
N2 0.186 0.814 0.279
N3 0.371 0.186 0.721
N4 0.629 0.814 0.279
N5 0.814 0.186 0.721
N6 0.814 0.629 0.721

Main lines, in order of rising 2θ (2θ = 15–90°):
Position (°2θ), I (rel.)
22.9, 100
32.2, 98
33.0, 90
40.6, 36
46.8, 41
52.1, 28
53.3, 25
58.5, 35

---

Diffraction record for Ti5Sb2H. The powder XRD pattern is computed, not measured: it uses a crystal structure in Alexandria, relaxed with GGA-PBE and Cu Kα, 1.54184 Å.
Lines closer than 0.1° are merged.

a b c (Å): 7.273 5.785 12.370
angles (deg): 90.00 90.00 90.00
Fractional positions:
Ti1 0.000 0.000 0.000
Ti2 0.000 0.500 0.000
Ti3 0.017 0.250 0.211
Ti4 0.160 0.507 0.620
Ti5 0.160 0.993 0.620
Ti6 0.180 0.750 0.408
Ti7 0.320 0.250 0.908
Ti8 0.340 0.007 0.120
Ti9 0.340 0.493 0.120
Ti10 0.483 0.750 0.711
Ti11 0.500 0.000 0.500
Ti12 0.500 0.500 0.500
Ti13 0.517 0.250 0.289
Ti14 0.660 0.507 0.880
Ti15 0.660 0.993 0.880
Ti16 0.680 0.750 0.092
Ti17 0.820 0.250 0.592
Ti18 0.840 0.007 0.380
Ti19 0.840 0.493 0.380
Ti20 0.983 0.750 0.789
Sb1 0.022 0.750 0.201
Sb2 0.175 0.250 0.423
Sb3 0.325 0.750 0.923
Sb4 0.478 0.250 0.701
Sb5 0.522 0.750 0.299
Sb6 0.675 0.250 0.077
Sb7 0.825 0.750 0.577
Sb8 0.978 0.250 0.799
H1 0.175 0.250 0.051
H2 0.325 0.750 0.551
H3 0.675 0.250 0.449
H4 0.825 0.750 0.949

Main lines, in order of rising 2θ (2θ = 15–90°):
Position (°2θ), I (rel.)
28.5, 48
36.4, 91
37.8, 98
38.2, 41
38.4, 100
40.0, 84
40.5, 48
42.5, 83

---

Diffraction record for DyMgAgF6. The powder XRD pattern is computed, not measured: it uses a crystal structure in Alexandria, relaxed with GGA-PBE and Cu Kα, 1.54184 Å.
Lines closer than 0.1° are merged.

a b c (Å): 5.185 5.185 10.188
angles (deg): 90.00 90.00 90.00
Fractional positions:
Dy1 0.000 0.000 0.000
Dy2 0.500 0.500 0.500
Mg1 0.000 0.000 0.661
Mg2 0.500 0.500 0.161
Ag1 0.000 0.000 0.328
Ag2 0.500 0.500 0.828
F1 0.172 0.172 0.820
F2 0.203 0.203 0.526
F3 0.226 0.226 0.141
F4 0.274 0.726 0.641
F5 0.297 0.703 0.026
F6 0.328 0.672 0.320
F7 0.672 0.328 0.320
F8 0.703 0.297 0.026
F9 0.726 0.274 0.641
F10 0.774 0.774 0.141
F11 0.797 0.797 0.526
F12 0.828 0.828 0.820

Main lines, in order of rising 2θ (2θ = 15–90°):
Position (°2θ), I (rel.)
19.2, 44
24.3, 100
31.5, 74
39.9, 18
47.5, 68
49.7, 19
60.1, 37
81.6, 22

---

Diffraction record for Sm2I3Br2. The powder XRD pattern is computed, not measured: it uses a crystal structure in Alexandria, relaxed with GGA-PBE and Cu Kα, 1.54184 Å.
Lines closer than 0.1° are merged.

a b c (Å): 4.274 4.272 16.294
angles (deg): 90.00 97.66 90.00
Fractional positions:
Sm1 0.102 0.000 0.194
Sm2 0.898 0.000 0.806
I1 0.000 0.000 0.000
I2 0.188 0.000 0.370
I3 0.812 0.000 0.630
Br1 0.405 0.500 0.819
Br2 0.595 0.500 0.181

Main lines, in order of rising 2θ (2θ = 15–90°):
Position (°2θ), I (rel.)
20.8, 43
21.0, 35
27.6, 40
29.7, 100
42.3, 36
43.0, 63
51.3, 21
69.6, 17

---

Diffraction record for Pm8Nd3. The powder XRD pattern is computed, not measured: it uses a crystal structure in Alexandria, relaxed with GGA-PBE and Cu Kα, 1.54184 Å.
Lines closer than 0.1° are merged.

a b c (Å): 6.355 6.355 13.200
angles (deg): 103.82 103.82 47.90
Fractional positions:
Pm1 0.045 0.045 0.318
Pm2 0.137 0.137 0.955
Pm3 0.227 0.227 0.591
Pm4 0.318 0.318 0.227
Pm5 0.682 0.682 0.773
Pm6 0.773 0.773 0.409
Pm7 0.863 0.863 0.045
Pm8 0.955 0.955 0.682
Nd1 0.409 0.409 0.863
Nd2 0.500 0.500 0.500
Nd3 0.591 0.591 0.137

Main lines, in order of rising 2θ (2θ = 15–90°):
Position (°2θ), I (rel.)
29.9, 100
34.5, 17
34.7, 17
34.8, 17
59.0, 15
59.2, 14
59.3, 14
62.1, 12

---

Diffraction record for Er2FeC4. The powder XRD pattern is computed, not measured: it uses a crystal structure in Alexandria, relaxed with GGA-PBE and Cu Kα, 1.54184 Å.
Lines closer than 0.1° are merged.

a b c (Å): 6.534 6.534 6.534
angles (deg): 110.43 86.76 135.03
Fractional positions:
Er1 0.145 0.156 0.300
Er2 0.355 0.656 0.011
Er3 0.645 0.344 0.989
Er4 0.855 0.844 0.700
Fe1 0.250 0.750 0.500
Fe2 0.750 0.250 0.500
C1 0.078 0.666 0.744
C2 0.129 0.839 0.968
C3 0.371 0.339 0.710
C4 0.422 0.166 0.588
C5 0.578 0.834 0.412
C6 0.629 0.661 0.290
C7 0.871 0.161 0.032
C8 0.922 0.334 0.256

Main lines, in order of rising 2θ (2θ = 15–90°):
Position (°2θ), I (rel.)
28.6, 100
30.7, 45
31.4, 83
35.9, 26
37.4, 30
39.2, 24
53.2, 23
60.1, 45